For MgSn3P3O13, a structure optimized by DFT (PBE) gives the simulated X-ray diffraction stick pattern in this record (Cu Kα, 1.54184 Å).
No peak broadening, texture or thermal motion is included.

Cell and atoms:
abc: 7.867 6.821 10.490
angles: 90.00 97.58 90.00
Fractional coordinates of all 40 atoms:
Mg (0.064, 0.250, 0.225)
Mg (0.936, 0.750, 0.775)
Sn (0.184, 0.250, 0.743)
Sn (0.303, 0.750, 0.393)
Sn (0.500, 0.000, 0.000)
Sn (0.500, 0.500, 0.000)
Sn (0.697, 0.250, 0.607)
Sn (0.816, 0.750, 0.257)
P (0.149, 0.750, 0.073)
P (0.195, 0.250, 0.477)
P (0.290, 0.750, 0.730)
P (0.710, 0.250, 0.270)
P (0.805, 0.750, 0.523)
P (0.851, 0.250, 0.927)
O (0.016, 0.750, 0.955)
O (0.040, 0.250, 0.558)
O (0.054, 0.750, 0.198)
O (0.167, 0.571, 0.741)
O (0.167, 0.929, 0.741)
O (0.189, 0.075, 0.383)
O (0.189, 0.425, 0.383)
O (0.264, 0.563, 0.087)
O (0.264, 0.937, 0.087)
O (0.349, 0.250, 0.589)
O (0.373, 0.750, 0.608)
O (0.376, 0.250, 0.894)
O (0.432, 0.750, 0.853)
O (0.568, 0.250, 0.147)
O (0.624, 0.750, 0.106)
O (0.627, 0.250, 0.392)
O (0.651, 0.750, 0.411)
O (0.736, 0.063, 0.913)
O (0.736, 0.437, 0.913)
O (0.811, 0.575, 0.617)
O (0.811, 0.925, 0.617)
O (0.833, 0.071, 0.259)
O (0.833, 0.429, 0.259)
O (0.946, 0.250, 0.802)
O (0.960, 0.750, 0.442)
O (0.984, 0.250, 0.045)

Main lines, sorted by position (2θ from 10° to 90°):
| two_theta | I (rel.) | h k l |
| --- | --- | --- |
| 13.26 | 51 | 1 0 -1 |
| 15.54 | 61 | 0 1 1 |
| 19.23 | 58 | 1 0 -2 |
| 25.43 | 54 | 2 0 1 |
| 26.13 | 42 | 0 2 0 |
| 26.73 | 100 | 2 1 -1 |
| 27.52 | 42 | 0 2 1 |
| 29.55 | 69 | 1 0 3 |